# BaTi4O9
Simulated PXRD pattern, a wavelength of 1.5418 Å. Input: a structure optimized by DFT (PBE).

Principal peaks in the range 10 to 90 degrees two-theta, in order of rising 2θ:
- 22.85°, I 36
- 27.19°, I 20
- 27.89°, I 59
- 29.64°, I 68
- 29.83°, I 100
- 33.51°, I 65
- 41.16°, I 23
- 47.62°, I 30
- 57.44°, I 24
- 59.48°, I 23

Structure:
Cell lengths 3.8195, 14.7161, 6.3968 Å; angles 90.00, 90.00, 90.00 degrees
Fractional coordinates of all 28 atoms:
Ba: 0.2500 0.2500 0.2145
Ba: 0.7500 0.7500 0.7855
Ti: 0.2500 0.5383 0.6951
Ti: 0.2500 0.6281 0.2479
Ti: 0.2500 0.8719 0.2479
Ti: 0.2500 0.9617 0.6951
Ti: 0.7500 0.0383 0.3049
Ti: 0.7500 0.1281 0.7521
Ti: 0.7500 0.3719 0.7521
Ti: 0.7500 0.4617 0.3049
O: 0.2500 0.0106 0.3475
O: 0.2500 0.0991 0.7595
O: 0.2500 0.4009 0.7595
O: 0.2500 0.4894 0.3475
O: 0.2500 0.5963 0.9370
O: 0.2500 0.6510 0.5424
O: 0.2500 0.7500 0.1633
O: 0.2500 0.8490 0.5424
O: 0.2500 0.9037 0.9370
O: 0.7500 0.0963 0.0630
O: 0.7500 0.1510 0.4576
O: 0.7500 0.2500 0.8367
O: 0.7500 0.3490 0.4576
O: 0.7500 0.4037 0.0630
O: 0.7500 0.5106 0.6525
O: 0.7500 0.5991 0.2405
O: 0.7500 0.9009 0.2405
O: 0.7500 0.9894 0.6525